Entry 1:
# Pr5Al4Ag2Ge4
Simulated powder XRD pattern, Cu Kα. Input: a GGA-PBE-relaxed structure.

Structure:
```
Pr5Al4Ag2Ge4
1.0
4.3098 0.0000 0.0000
0.0000 2.1659 19.0617
0.0000 -2.1659 19.0617
Pr Al Ag Ge
5 4 2 4
direct
0.0000 0.0000 0.0000
0.0000 0.1930 0.1930
0.0000 0.3888 0.3888
0.0000 0.5959 0.5959
0.0000 0.7899 0.7899
0.5000 0.1281 0.1281
0.5000 0.4616 0.4616
0.5000 0.5293 0.5293
0.5000 0.7257 0.7257
0.5000 0.3249 0.3249
0.5000 0.9281 0.9281
0.5000 0.0628 0.0628
0.5000 0.2580 0.2580
0.5000 0.6602 0.6602
0.5000 0.8603 0.8603
```

The 10 most intense peaks (2θ = 15–90°), in order of falling intensity:
2θ 31.55, I 100
2θ 31.33, I 48
2θ 41.18, I 38
2θ 60.22, I 24
2θ 53.07, I 22
2θ 41.70, I 20
2θ 41.92, I 20
2θ 23.62, I 14
2θ 60.62, I 13
2θ 70.11, I 10

Entry 2:
# CsSmGeSe4
Simulated powder XRD pattern, Cu Kα. Input: a GGA-PBE-relaxed structure.

Structure:
```
CsSmGeSe4
1.0
6.8680 0.0000 0.0000
0.0000 7.1975 0.0000
0.0000 0.0000 18.9473
Cs Sm Ge Se
4 4 4 16
direct
0.0052 0.0065 0.0316
0.4948 0.9935 0.5316
0.5052 0.4935 0.9684
0.9948 0.5065 0.4684
0.2071 0.5190 0.7273
0.2929 0.4810 0.2273
0.7071 0.9810 0.2727
0.7929 0.0190 0.7727
0.2104 0.0167 0.3331
0.2896 0.9833 0.8331
0.7104 0.4833 0.6669
0.7896 0.5167 0.1669
0.0556 0.7442 0.8534
0.0649 0.5129 0.0915
0.0960 0.2564 0.8455
0.0979 0.0862 0.2171
0.4021 0.9138 0.7171
0.4040 0.7436 0.3455
0.4351 0.4871 0.5915
0.4444 0.2558 0.3534
0.5556 0.7558 0.1466
0.5649 0.9871 0.9085
0.5960 0.2436 0.1545
0.5979 0.4138 0.7829
0.9021 0.5862 0.2829
0.9040 0.7564 0.6545
0.9351 0.0129 0.4085
0.9444 0.2442 0.6466
```

The 10 most intense peaks (2θ = 15–90°), in order of falling intensity:
2θ 29.63, I 100
2θ 37.42, I 91
2θ 31.20, I 83
2θ 26.87, I 72
2θ 28.39, I 67
2θ 24.74, I 63
2θ 27.63, I 63
2θ 31.44, I 57
2θ 40.27, I 48
2θ 40.79, I 47

Entry 3:
# US2O9
Simulated powder XRD pattern, Cu Kα. Input: a GGA-PBE-relaxed structure.

Structure:
```
US2O9
1.0
6.6555 0.0000 0.0000
1.8106 6.7381 0.0000
1.3947 0.0240 8.0599
U S O
2 4 18
direct
0.2051 0.1982 0.2521
0.7949 0.8018 0.7479
0.0161 0.7491 0.1498
0.3915 0.2570 0.6451
0.6085 0.7430 0.3549
0.9839 0.2509 0.8502
0.0239 0.2834 0.0154
0.0293 0.7929 0.6022
0.1010 0.5638 0.2336
0.1359 0.8961 0.1492
0.2070 0.1411 0.7395
0.3304 0.3116 0.4815
0.3857 0.4173 0.7491
0.4202 0.9101 0.3698
0.4395 0.1936 0.1090
0.5605 0.8064 0.8910
0.5798 0.0899 0.6302
0.6143 0.5827 0.2509
0.6696 0.6884 0.5185
0.7930 0.8589 0.2605
0.8641 0.1039 0.8508
0.8990 0.4362 0.7664
0.9707 0.2071 0.3978
0.9761 0.7166 0.9846
```

The 10 most intense peaks (2θ = 15–90°), in order of falling intensity:
2θ 16.57, I 100
2θ 19.18, I 92
2θ 21.56, I 71
2θ 22.06, I 66
2θ 17.15, I 60
2θ 25.74, I 58
2θ 29.33, I 54
2θ 26.46, I 48
2θ 16.31, I 41
2θ 33.20, I 24

Entry 4:
# CsAuO
Simulated powder XRD pattern, Cu Kα. Input: a GGA-PBE-relaxed structure.

Structure:
```
CsAuO
1.0
-5.2027 5.2027 3.1589
5.2027 -5.2027 3.1589
5.2027 5.2027 -3.1589
Cs Au O
4 4 4
direct
0.0000 0.3013 0.3013
0.0000 0.6987 0.6987
0.3013 0.0000 0.3013
0.6987 0.0000 0.6987
0.3553 0.3553 0.7107
0.3553 0.6447 0.0000
0.6447 0.3553 0.0000
0.6447 0.6447 0.2893
0.2198 0.5000 0.7198
0.5000 0.2198 0.7198
0.5000 0.7802 0.2802
0.7802 0.5000 0.2802
```

The 10 most intense peaks (2θ = 15–90°), in order of falling intensity:
2θ 29.38, I 100
2θ 28.25, I 40
2θ 16.41, I 33
2θ 36.64, I 27
2θ 46.90, I 27
2θ 50.71, I 22
2θ 75.13, I 13
2θ 38.41, I 12
2θ 24.19, I 12
2θ 61.56, I 12

Entry 5:
# Sr2CuCO5
Simulated powder XRD pattern, Cu Kα. Input: a GGA-PBE-relaxed structure.

Structure:
```
Sr2CuCO5
1.0
-3.9344 3.9344 7.6485
3.9344 -3.9344 7.6485
3.9344 3.9344 -7.6485
Sr Cu C O
8 4 4 20
direct
0.1275 0.1275 0.0000
0.1342 0.6342 0.5000
0.3502 0.3502 0.0000
0.3658 0.8658 0.5000
0.6342 0.1342 0.5000
0.6498 0.6498 0.0000
0.8658 0.3658 0.5000
0.8725 0.8725 0.0000
0.0000 0.0000 0.5000
0.0000 0.5000 0.0000
0.5000 0.0000 0.0000
0.5000 0.5000 0.5000
0.2503 0.2633 0.5136
0.2633 0.7497 0.0130
0.7367 0.2503 0.9870
0.7497 0.7367 0.4864
0.0117 0.7622 0.2483
0.0836 0.2672 0.3508
0.1910 0.5958 0.9297
0.2365 0.9883 0.7504
0.2378 0.4861 0.2496
0.2613 0.1910 0.5952
0.2672 0.9164 0.1836
0.3339 0.7387 0.9297
0.4042 0.3339 0.5952
0.4861 0.2365 0.2483
0.5139 0.7635 0.7517
0.5958 0.6661 0.4048
0.6661 0.2613 0.0703
0.7328 0.0836 0.8164
0.7387 0.8090 0.4048
0.7622 0.5139 0.7504
0.7635 0.0117 0.2496
0.8090 0.4042 0.0703
0.9164 0.7328 0.6492
0.9883 0.2378 0.7517
```

The 10 most intense peaks (2θ = 15–90°), in order of falling intensity:
2θ 32.65, I 100
2θ 32.17, I 47
2θ 57.67, I 35
2θ 46.14, I 27
2θ 42.24, I 17
2θ 40.08, I 16
2θ 68.42, I 10
2θ 58.58, I 9
2θ 76.84, I 9
2θ 22.60, I 8

Entry 6:
# U2C3
Simulated powder XRD pattern, Cu Kα. Input: a GGA-PBE-relaxed structure.

Structure:
```
U2C3
1.0
-4.0252 4.0252 4.0252
4.0252 -4.0252 4.0252
4.0252 4.0252 -4.0252
U C
8 12
direct
0.0000 0.4017 0.5000
0.0000 0.9017 0.5000
0.0983 0.0983 0.0983
0.4017 0.5000 0.0000
0.5000 0.0000 0.4017
0.5000 0.0000 0.9017
0.5983 0.5983 0.5983
0.9017 0.5000 0.0000
0.0358 0.7500 0.7858
0.2142 0.7500 0.9642
0.2500 0.5358 0.2858
0.2500 0.7142 0.4642
0.2858 0.2500 0.5358
0.4642 0.2500 0.7142
0.5358 0.2858 0.2500
0.7142 0.4642 0.2500
0.7500 0.7858 0.0358
0.7500 0.9642 0.2142
0.7858 0.0358 0.7500
0.9642 0.2142 0.7500
```

The 10 most intense peaks (2θ = 15–90°), in order of falling intensity:
2θ 31.43, I 100
2θ 35.25, I 85
2θ 58.46, I 59
2θ 27.13, I 47
2θ 41.99, I 42
2θ 63.27, I 29
2θ 53.38, I 27
2θ 89.45, I 22
2θ 76.72, I 19
2θ 55.96, I 14

Entry 7:
# UCdO4
Simulated powder XRD pattern, Cu Kα. Input: a GGA-PBE-relaxed structure.

Structure:
```
UCdO4
1.0
6.9782 0.0000 0.0000
0.0000 7.2298 0.0000
0.0000 0.0000 3.5268
U Cd O
2 2 8
direct
0.0000 0.0000 0.0000
0.5000 0.5000 0.0000
0.0000 0.5000 0.5000
0.5000 0.0000 0.5000
0.0000 0.1759 0.5000
0.0000 0.8241 0.5000
0.2171 0.5000 0.0000
0.2829 0.0000 0.0000
0.5000 0.3241 0.5000
0.5000 0.6759 0.5000
0.7171 0.0000 0.0000
0.7829 0.5000 0.0000
```

The 10 most intense peaks (2θ = 15–90°), in order of falling intensity:
2θ 30.99, I 100
2θ 24.63, I 55
2θ 25.53, I 47
2θ 47.52, I 40
2θ 48.55, I 34
2θ 35.77, I 29
2θ 17.66, I 26
2θ 61.31, I 21
2θ 64.59, I 11
2θ 58.21, I 10

Entry 8:
# YN
Simulated powder XRD pattern, Cu Kα. Input: a GGA-PBE-relaxed structure.

Structure:
```
YN
1.0
4.0399 0.0000 0.0000
-2.0199 3.4986 0.0000
0.0000 0.0000 4.9298
Y N
2 2
direct
0.3333 0.6667 0.2500
0.6667 0.3333 0.7500
0.3333 0.6667 0.7500
0.6667 0.3333 0.2500
```

The 10 most intense peaks (2θ = 15–90°), in order of falling intensity:
2θ 31.35, I 100
2θ 25.46, I 55
2θ 44.87, I 43
2θ 59.13, I 36
2θ 36.45, I 27
2θ 44.99, I 22
2θ 55.76, I 20
2θ 74.26, I 17
2θ 62.44, I 14
2θ 82.80, I 13

Entry 9:
# ZrTiF6
Simulated powder XRD pattern, Cu Kα. Input: a GGA-PBE-relaxed structure.

Structure:
```
ZrTiF6
1.0
0.0000 4.1247 4.1247
4.1247 0.0000 4.1247
4.1247 4.1247 0.0000
Zr Ti F
1 1 6
direct
0.0000 0.0000 0.0000
0.5000 0.5000 0.5000
0.2516 0.2516 0.7484
0.2516 0.7484 0.2516
0.2516 0.7484 0.7484
0.7484 0.2516 0.2516
0.7484 0.2516 0.7484
0.7484 0.7484 0.2516
```

The 10 most intense peaks (2θ = 15–90°), in order of falling intensity:
2θ 21.54, I 100
2θ 49.41, I 38
2θ 43.90, I 28
2θ 30.65, I 24
2θ 68.21, I 16
2θ 63.83, I 15
2θ 18.63, I 10
2θ 54.49, I 10
2θ 84.74, I 7
2θ 36.11, I 7

Entry 10:
# Cd4Te3Se
Simulated powder XRD pattern, Cu Kα. Input: a GGA-PBE-relaxed structure.

Structure:
```
Cd4Te3Se
1.0
4.6152 0.0000 0.0000
0.0000 9.2634 0.0000
0.0000 0.0000 6.4812
Cd Te Se
4 3 1
direct
0.0000 0.0000 0.0000
0.0000 0.5000 0.0255
0.5000 0.2379 0.5290
0.5000 0.7621 0.5290
0.0000 0.2436 0.2703
0.0000 0.7564 0.2703
0.5000 0.5000 0.7674
0.5000 0.0000 0.7726
```

The 10 most intense peaks (2θ = 15–90°), in order of falling intensity:
2θ 23.64, I 100
2θ 39.14, I 52
2θ 46.08, I 32
2θ 46.39, I 16
2θ 39.03, I 13
2θ 38.89, I 13
2θ 62.14, I 13
2θ 56.28, I 9
2θ 70.78, I 9
2θ 70.59, I 8

Entry 11:
# Nd3GaNiSe7
Simulated powder XRD pattern, Cu Kα. Input: a GGA-PBE-relaxed structure.

Structure:
```
Nd3GaNiSe7
1.0
10.2787 0.0000 0.0000
-5.1393 8.9016 0.0000
0.0000 0.0000 6.5142
Nd Ga Ni Se
6 2 2 14
direct
0.1566 0.3730 0.0000
0.2164 0.8434 0.0000
0.3730 0.2164 0.5000
0.6270 0.7836 0.0000
0.7836 0.1566 0.5000
0.8434 0.6270 0.5000
0.3333 0.6667 0.5785
0.6667 0.3333 0.0785
0.0000 0.0000 0.1921
0.0000 0.0000 0.6921
0.0845 0.5644 0.7273
0.0982 0.2301 0.4247
0.1320 0.9018 0.4247
0.2301 0.1320 0.9247
0.3333 0.6667 0.2100
0.4356 0.5201 0.7273
0.4799 0.9155 0.7273
0.5201 0.0845 0.2273
0.5644 0.4799 0.2273
0.6667 0.3333 0.7100
0.7699 0.8680 0.4247
0.8680 0.0982 0.9247
0.9018 0.7699 0.9247
0.9155 0.4356 0.2273
```

The 10 most intense peaks (2θ = 15–90°), in order of falling intensity:
2θ 34.11, I 100
2θ 33.18, I 93
2θ 34.92, I 91
2θ 24.22, I 86
2θ 29.89, I 78
2θ 46.56, I 60
2θ 56.47, I 41
2θ 39.02, I 39
2θ 42.94, I 37
2θ 38.47, I 35

Entry 12:
# CoGeMo
Simulated powder XRD pattern, Cu Kα. Input: a GGA-PBE-relaxed structure.

Structure:
```
CoGeMo
1.0
7.5281 0.0000 0.0000
0.0000 2.5065 4.2526
0.0000 -2.5065 4.2526
Co Ge Mo
4 4 4
direct
0.0000 0.2424 0.7576
0.0000 0.7576 0.2424
0.2579 0.4051 0.4051
0.7421 0.4051 0.4051
0.0000 0.2439 0.2439
0.5000 0.0648 0.5710
0.5000 0.5710 0.0648
0.5000 0.5740 0.5740
0.1765 0.7359 0.7359
0.3095 0.0652 0.0652
0.6905 0.0652 0.0652
0.8235 0.7359 0.7359
```

The 10 most intense peaks (2θ = 15–90°), in order of falling intensity:
2θ 43.87, I 100
2θ 43.61, I 97
2θ 41.63, I 84
2θ 41.81, I 52
2θ 43.37, I 47
2θ 36.41, I 41
2θ 44.26, I 38
2θ 77.24, I 32
2θ 77.33, I 27
2θ 35.83, I 24